The following is a computed powder diffractogram of KPmOF2. It was derived from the PBE geometry in Alexandria, using CuKα.

Principal peaks in the range 2θ from 5° to 70°, by angle:
2θ 19.10, rel. 62.4; 2θ 19.63, rel. 32.0; 2θ 27.14, rel. 48.3; 2θ 27.53, rel. 100.0; 2θ 38.76, rel. 40.2; 2θ 39.88, rel. 18.4; 2θ 43.81, rel. 16.4; 2θ 48.19, rel. 42.8; 2θ 48.90, rel. 19.0; 2θ 56.82, rel. 24.1

Atomic structure:
```
data_KPmOF2
_chemical_formula_sum 'K1 Pm1 O1 F2'
_cell_length_a 4.647
_cell_length_b 4.647
_cell_length_c 4.521
_cell_angle_alpha 90.00
_cell_angle_beta 90.00
_cell_angle_gamma 90.00
_space_group_name_H-M_alt 'P 4 m m'
_space_group_IT_number 99
_space_group_name_Hall 'P 4 -2'
loop_
_atom_site_label
_atom_site_fract_x
_atom_site_fract_y
_atom_site_fract_z
_atom_site_occupancy
K1 0.000 0.000 0.000 1
Pm1 0.500 0.500 0.499 1
O1 0.500 0.500 0.999 1
F1 0.000 0.500 0.499 1
```